# CsH2SNO3
Theoretical X-ray diffraction stick pattern, Cu Kα (λ = 1.5418 Å). Input: a DFT-relaxed cell (GGA-PBE, Alexandria).
Peak positions follow from Bragg's law for the DFT cell and can differ from measured ones.

Largest 10 diffraction maxima, in order of rising 2θ, 2θ from 10° to 90°:
14.5°, I 21; 19.4°, I 22; 20.8°, I 22; 23.2°, I 50; 24.1°, I 100; 26.0°, I 43; 26.6°, I 41; 33.6°, I 28; 34.9°, I 23; 35.1°, I 22

Atomic structure:
Lattice parameters (Å, degrees): 8.7892 6.8514 8.5313 90.00 90.00 90.00
Element x y z (fractional)
Cs1 0.1274 0.2500 0.0658
Cs2 0.3726 0.7500 0.5658
Cs3 0.6274 0.2500 0.4342
Cs4 0.8726 0.7500 0.9342
H1 0.0056 0.6266 0.5803
H2 0.0056 0.8734 0.5803
H3 0.4944 0.1266 0.0803
H4 0.4944 0.3734 0.0803
H5 0.5056 0.6266 0.9197
H6 0.5056 0.8734 0.9197
H7 0.9944 0.1266 0.4197
H8 0.9944 0.3734 0.4197
S1 0.1426 0.2500 0.6168
S2 0.3574 0.7500 0.1168
S3 0.6426 0.2500 0.8832
S4 0.8574 0.7500 0.3832
N1 0.0005 0.7500 0.5117
N2 0.4995 0.2500 0.0117
N3 0.5005 0.7500 0.9883
N4 0.9995 0.2500 0.4883
O1 0.1184 0.0698 0.7081
O2 0.1184 0.4302 0.7081
O3 0.2113 0.7500 0.0326
O4 0.2887 0.2500 0.5326
O5 0.3816 0.5698 0.2081
O6 0.3816 0.9302 0.2081
O7 0.6184 0.0698 0.7919
O8 0.6184 0.4302 0.7919
O9 0.7113 0.7500 0.4674
O10 0.7887 0.2500 0.9674
O11 0.8816 0.5698 0.2919
O12 0.8816 0.9302 0.2919

=====

# CsTe2HN
Theoretical X-ray diffraction stick pattern, Cu Kα (λ = 1.5418 Å). Input: a DFT-relaxed cell (GGA-PBE, Alexandria).
Peak positions follow from Bragg's law for the DFT cell and can differ from measured ones.

Largest 10 diffraction maxima, in order of rising 2θ, 2θ from 10° to 90°:
12.5°, I 15; 19.7°, I 13; 23.4°, I 18; 25.3°, I 43; 30.8°, I 100; 40.0°, I 25; 47.9°, I 29; 48.1°, I 28; 67.0°, I 21; 78.5°, I 13

Atomic structure:
Lattice parameters (Å, degrees): 4.5065 4.5065 7.0534 90.00 90.00 90.00
Element x y z (fractional)
Cs1 0.0000 0.0000 0.0000
Te1 0.0000 0.5000 0.5000
Te2 0.5000 0.0000 0.5000
H1 0.5000 0.5000 0.5000
N1 0.5000 0.5000 0.0000

=====

# CsNa2H3
Theoretical X-ray diffraction stick pattern, Cu Kα (λ = 1.5418 Å). Input: a DFT-relaxed cell (GGA-PBE, Alexandria).
Peak positions follow from Bragg's law for the DFT cell and can differ from measured ones.

Largest 10 diffraction maxima, in order of rising 2θ, 2θ from 10° to 90°:
14.9°, I 62; 20.2°, I 91; 22.6°, I 67; 28.5°, I 100; 29.4°, I 86; 31.2°, I 76; 32.3°, I 44; 42.0°, I 38; 49.9°, I 39; 53.3°, I 31

Atomic structure:
Lattice parameters (Å, degrees): 4.1692 11.8567 4.7455 90.00 90.00 90.00
Element x y z (fractional)
Cs1 0.2500 0.2500 0.2491
Cs2 0.7500 0.7500 0.7509
Na1 0.2500 0.5600 0.2503
Na2 0.2500 0.9400 0.2503
Na3 0.7500 0.0600 0.7497
Na4 0.7500 0.4400 0.7497
H1 0.2500 0.5279 0.7502
H2 0.2500 0.7500 0.2510
H3 0.2500 0.9721 0.7502
H4 0.7500 0.0279 0.2498
H5 0.7500 0.2500 0.7490
H6 0.7500 0.4721 0.2498

=====

# CsNaH2
Theoretical X-ray diffraction stick pattern, Cu Kα (λ = 1.5418 Å). Input: a DFT-relaxed cell (GGA-PBE, Alexandria).
Peak positions follow from Bragg's law for the DFT cell and can differ from measured ones.

Largest 10 diffraction maxima, in order of rising 2θ, 2θ from 10° to 90°:
22.1°, I 100; 28.1°, I 61; 28.2°, I 71; 30.1°, I 18; 40.1°, I 24; 41.6°, I 28; 46.3°, I 28; 49.7°, I 29; 50.9°, I 16; 65.7°, I 17

Atomic structure:
Lattice parameters (Å, degrees): 4.4979 4.4979 8.9213 90.00 90.00 90.00
Element x y z (fractional)
Cs1 0.2500 0.2500 0.1810
Cs2 0.7500 0.7500 0.8190
Na1 0.2500 0.2500 0.5812
Na2 0.7500 0.7500 0.4188
H1 0.2500 0.2500 0.8342
H2 0.2500 0.7500 0.5000
H3 0.7500 0.2500 0.5000
H4 0.7500 0.7500 0.1658

=====

# CsNaH3
Theoretical X-ray diffraction stick pattern, Cu Kα (λ = 1.5418 Å). Input: a DFT-relaxed cell (GGA-PBE, Alexandria).
Peak positions follow from Bragg's law for the DFT cell and can differ from measured ones.

Largest 10 diffraction maxima, in order of rising 2θ, 2θ from 10° to 90°:
18.7°, I 64; 24.6°, I 26; 25.0°, I 100; 26.4°, I 42; 31.1°, I 71; 32.5°, I 30; 35.4°, I 41; 38.2°, I 25; 42.4°, I 23; 57.2°, I 32

Atomic structure:
Lattice parameters (Å, degrees): 5.5060 3.6144 9.3359 90.00 90.22 90.00
Element x y z (fractional)
Cs1 0.2498 0.0000 0.1418
Cs2 0.7502 0.0000 0.8582
Na1 0.2540 0.5000 0.6110
Na2 0.7460 0.5000 0.3890
H1 0.2495 0.5000 0.8421
H2 0.2498 0.0000 0.8071
H3 0.2537 0.5000 0.3844
H4 0.7463 0.5000 0.6156
H5 0.7502 0.0000 0.1929
H6 0.7505 0.5000 0.1579

=====

# Cs2Na3H5
Theoretical X-ray diffraction stick pattern, Cu Kα (λ = 1.5418 Å). Input: a DFT-relaxed cell (GGA-PBE, Alexandria).
Peak positions follow from Bragg's law for the DFT cell and can differ from measured ones.

Largest 10 diffraction maxima, in order of rising 2θ, 2θ from 10° to 90°:
13.7°, I 56; 14.8°, I 36; 20.1°, I 33; 22.2°, I 70; 24.7°, I 71; 26.5°, I 69; 27.7°, I 100; 31.9°, I 44; 32.3°, I 92; 45.3°, I 28

Atomic structure:
Lattice parameters (Å, degrees): 7.0501 7.0501 9.0738 116.88 116.88 32.56
Element x y z (fractional)
Cs1 0.1857 0.1857 0.2462
Cs2 0.8143 0.8143 0.7538
Na1 0.0000 0.0000 0.5000
Na2 0.4306 0.4306 0.1780
Na3 0.5694 0.5694 0.8220
H1 0.1407 0.1407 0.7991
H2 0.4101 0.4101 0.5730
H3 0.5000 0.5000 0.0000
H4 0.5899 0.5899 0.4270
H5 0.8593 0.8593 0.2009

=====

# Cs2Na2NiH4
Theoretical X-ray diffraction stick pattern, Cu Kα (λ = 1.5418 Å). Input: a DFT-relaxed cell (GGA-PBE, Alexandria).
Peak positions follow from Bragg's law for the DFT cell and can differ from measured ones.

Largest 10 diffraction maxima, in order of rising 2θ, 2θ from 10° to 90°:
16.9°, I 32; 21.5°, I 23; 24.0°, I 100; 27.5°, I 88; 32.5°, I 35; 34.2°, I 40; 40.8°, I 18; 44.5°, I 45; 50.7°, I 19; 55.5°, I 19

Atomic structure:
Lattice parameters (Å, degrees): 6.6652 6.6652 6.6652 112.51 112.51 103.56
Element x y z (fractional)
Cs1 0.2500 0.7500 0.5000
Cs2 0.7500 0.2500 0.5000
Na1 0.1859 0.1859 0.0000
Na2 0.8141 0.8141 0.0000
Ni1 0.5000 0.5000 0.0000
H1 0.3521 0.3521 0.7041
H2 0.3521 0.6479 0.0000
H3 0.6479 0.3521 0.0000
H4 0.6479 0.6479 0.2959